Diffraction record for SrEuNbFeO6. The PXRD pattern is computed, not measured: it uses a crystal structure in Alexandria, relaxed with GGA+U and Cu Kα (λ = 1.5418 Å).

Cell and atoms:
```
SrEuNbFeO6
1.0
0.0000 4.0173 4.0173
4.0173 0.0000 4.0173
4.0173 4.0173 0.0000
Sr Eu Nb Fe O
1 1 1 1 6
Direct
0.0000 0.0000 0.0000
0.5000 0.5000 0.5000
0.2500 0.2500 0.2500
0.7500 0.7500 0.7500
0.0007 0.0007 0.4993
0.0007 0.4993 0.0007
0.0007 0.4993 0.4993
0.4993 0.0007 0.0007
0.4993 0.0007 0.4993
0.4993 0.4993 0.0007
```

Peak list (10 most intense, 2θ from 15° to 90°, by intensity)
31.5 deg, I = 100
56.1 deg, I = 39
45.1 deg, I = 33
65.7 deg, I = 20
74.7 deg, I = 17
38.8 deg, I = 10
19.1 deg, I = 9
83.3 deg, I = 7
37.1 deg, I = 5
79.1 deg, I = 3